The following is a calculated powder X-ray diffraction pattern of Np2Si7Au12. It was derived from a crystal structure in Alexandria, relaxed with GGA-PBE, using Cu Kα (weighted mean of Kα1 and Kα2).
No peak broadening, texture or thermal motion is included.

Top 6 peaks for 10 to 90 degrees two-theta, low angle first:
| two_theta | I_rel | h k l |
| --- | --- | --- |
| 26.8 | 18.3 | 1 2 0 |
| 34.0 | 100.0 | 3 -1 1 |
| 41.8 | 16.6 | 0 0 2 |
| 44.9 | 12.5 | 2 3 0 |
| 47.3 | 13.6 | 4 1 0 |
| 71.3 | 11.2 | 3 -1 3 |

Atomic structure:
Lattice parameters (Å, degrees): 10.1630 10.1630 4.3247 90.00 90.00 120.00
Space group P-3 (No. 147)
Asymmetric unit:
Np (0.3333, 0.6667, 0.2465) [2 per cell]
Si (0.0000, 0.0000, 0.5000) [1 per cell]
Si (0.1169, 0.4044, 0.7288) [6 per cell]
Au (0.0664, 0.6160, 0.7532) [6 per cell]
Au (0.1180, 0.8562, 0.2212) [6 per cell]